# Li5Cr2O8
Theoretical X-ray powder pattern, CuKα. Input: the GGA+U geometry in Alexandria.

Peak list (8 most intense, 2θ from 5° to 70°, sorted by position)
2θ (°)  Rel. int.
19.72  37
21.08  61
21.82  100
23.95  34
26.40  43
26.82  34
31.99  18
40.88  20

Structural model:
```
Li5Cr2O8
1.0
5.161 0.000 0.000
2.219 4.869 0.000
2.430 0.010 7.431
Li Cr O
5 2 8
Direct
0.000 0.000 0.000
0.072 0.483 0.904
0.189 0.567 0.487
0.281 0.029 0.661
0.771 0.480 0.289
0.403 0.064 0.232
0.618 0.462 0.708
0.146 0.205 0.118
0.261 0.925 0.421
0.319 0.727 0.839
0.429 0.303 0.651
0.486 0.312 0.277
0.714 0.817 0.114
0.807 0.574 0.512
0.872 0.284 0.827
```

---

# Li8CrO6
Theoretical X-ray powder pattern, CuKα. Input: the GGA+U geometry in Alexandria.

Peak list (8 most intense, 2θ from 5° to 70°, sorted by position)
2θ (°)  Rel. int.
17.84  43
19.88  100
22.43  75
30.65  19
37.90  91
49.84  65
59.23  37
66.14  17

Structural model:
```
Li8CrO6
1.0
2.702 1.560 4.972
-2.702 1.560 4.972
0.000 -3.120 4.972
Li Cr O
8 1 6
Direct
0.010 0.738 0.400
0.159 0.159 0.159
0.262 0.600 0.990
0.400 0.010 0.738
0.600 0.990 0.262
0.738 0.400 0.010
0.841 0.841 0.841
0.990 0.262 0.600
0.500 0.500 0.500
0.126 0.412 0.729
0.271 0.874 0.588
0.412 0.729 0.126
0.588 0.271 0.874
0.729 0.126 0.412
0.874 0.588 0.271
```

---

What did the first record say?
# Li5Cr2O8
Theoretical X-ray powder pattern, CuKα. Input: the GGA+U geometry in Alexandria.

Peak list (8 most intense, 2θ from 5° to 70°, sorted by position)
2θ (°)  Rel. int.
19.72  37
21.08  61
21.82  100
23.95  34
26.40  43
26.82  34
31.99  18
40.88  20

Structural model:
```
Li5Cr2O8
1.0
5.161 0.000 0.000
2.219 4.869 0.000
2.430 0.010 7.431
Li Cr O
5 2 8
Direct
0.000 0.000 0.000
0.072 0.483 0.904
0.189 0.567 0.487
0.281 0.029 0.661
0.771 0.480 0.289
0.403 0.064 0.232
0.618 0.462 0.708
0.146 0.205 0.118
0.261 0.925 0.421
0.319 0.727 0.839
0.429 0.303 0.651
0.486 0.312 0.277
0.714 0.817 0.114
0.807 0.574 0.512
0.872 0.284 0.827
```